This entry pairs a crystal structure of AgHg3 with its theoretical PXRD pattern. Radiation: Cu Kα (weighted mean of Kα1 and Kα2). Structure: a crystal structure in Alexandria, relaxed with GGA-PBE.

Structural model:
Cell: 5.539 6.134 5.323 Å, 90.00 90.00 90.00°
Sites, in units of the cell vectors:
Ag1 0.250 0.250 0.162
Ag2 0.750 0.750 0.838
Hg1 0.250 0.004 0.658
Hg2 0.250 0.496 0.658
Hg3 0.250 0.750 0.147
Hg4 0.750 0.250 0.853
Hg5 0.750 0.504 0.342
Hg6 0.750 0.996 0.342

Top 10 peaks for 10° ≤ 2θ ≤ 90°, by angle:
two_theta  I_rel
32.3  33
33.7  23
37.5  100
47.4  18
60.3  11
60.4  6
61.1  24
70.1  21
73.3  11
77.8  4


This entry pairs a crystal structure of NaAgICl with its theoretical PXRD pattern. Radiation: Cu Kα (weighted mean of Kα1 and Kα2). Structure: a crystal structure in Alexandria, relaxed with GGA-PBE.

Structural model:
Cell: 4.621 5.372 4.818 Å, 90.00 90.00 90.00°
Sites, in units of the cell vectors:
Na1 0.000 0.000 0.000
Ag1 0.500 0.500 0.696
I1 0.500 0.000 0.480
Cl1 0.000 0.500 0.976

Top 10 peaks for 10° ≤ 2θ ≤ 90°, by angle:
two_theta  I_rel
18.4  41
19.2  60
24.8  55
26.7  100
31.6  44
33.4  44
39.0  28
41.1  27
43.3  52
45.7  47


This entry pairs a crystal structure of Sm7Cd4Pb with its theoretical PXRD pattern. Radiation: Cu Kα (weighted mean of Kα1 and Kα2). Structure: a crystal structure in Alexandria, relaxed with GGA-PBE.

Structural model:
Cell: 8.024 8.024 9.387 Å, 117.58 117.58 43.43°
Sites, in units of the cell vectors:
Sm1 0.000 0.000 0.000
Sm2 0.235 0.235 0.701
Sm3 0.320 0.320 0.123
Sm4 0.426 0.426 0.590
Sm5 0.574 0.574 0.410
Sm6 0.680 0.680 0.877
Sm7 0.765 0.765 0.299
Cd1 0.025 0.025 0.679
Cd2 0.189 0.189 0.339
Cd3 0.811 0.811 0.661
Cd4 0.975 0.975 0.321
Pb1 0.500 0.500 0.000

Top 10 peaks for 10° ≤ 2θ ≤ 90°, by angle:
two_theta  I_rel
27.6  14
30.1  100
30.7  35
31.3  27
32.6  28
33.0  15
34.2  62
43.5  28
44.0  21
56.1  15


This entry pairs a crystal structure of NdSm4Y8 with its theoretical PXRD pattern. Radiation: Cu Kα (weighted mean of Kα1 and Kα2). Structure: a crystal structure in Alexandria, relaxed with GGA-PBE.

Structural model:
Cell: 7.844 7.844 7.844 Å, 90.00 90.00 90.00°
Sites, in units of the cell vectors:
Nd1 0.000 0.000 0.000
Sm1 0.000 0.000 0.500
Sm2 0.000 0.500 0.000
Sm3 0.500 0.000 0.000
Sm4 0.500 0.500 0.500
Y1 0.261 0.261 0.261
Y2 0.261 0.261 0.739
Y3 0.261 0.739 0.261
Y4 0.261 0.739 0.739
Y5 0.739 0.261 0.261
Y6 0.739 0.261 0.739
Y7 0.739 0.739 0.261
Y8 0.739 0.739 0.739

Top 10 peaks for 10° ≤ 2θ ≤ 90°, by angle:
two_theta  I_rel
16.0  6
19.6  22
25.4  6
32.3  100
38.0  12
46.3  18
50.7  6
57.6  36
67.6  11
76.9  15


This entry pairs a crystal structure of MnTl3Cl7 with its theoretical PXRD pattern. Radiation: Cu Kα (weighted mean of Kα1 and Kα2). Structure: a crystal structure in Alexandria, relaxed with GGA-PBE.

Structural model:
Cell: 9.653 9.653 6.781 Å, 90.00 90.00 90.00°
Sites, in units of the cell vectors:
Mn1 0.000 0.500 0.000
Mn2 0.500 0.000 0.000
Tl1 0.000 0.000 0.000
Tl2 0.174 0.326 0.500
Tl3 0.326 0.826 0.500
Tl4 0.500 0.500 0.000
Tl5 0.674 0.174 0.500
Tl6 0.826 0.674 0.500
Cl1 0.000 0.000 0.500
Cl2 0.117 0.617 0.241
Cl3 0.117 0.617 0.759
Cl4 0.167 0.333 0.000
Cl5 0.333 0.833 0.000
Cl6 0.383 0.117 0.241
Cl7 0.383 0.117 0.759
Cl8 0.500 0.500 0.500
Cl9 0.617 0.883 0.241
Cl10 0.617 0.883 0.759
Cl11 0.667 0.167 0.000
Cl12 0.833 0.667 0.000
Cl13 0.883 0.383 0.241
Cl14 0.883 0.383 0.759

Top 10 peaks for 10° ≤ 2θ ≤ 90°, by angle:
two_theta  I_rel
20.6  44
22.6  100
24.4  55
26.1  42
26.3  39
29.3  70
33.6  84
37.4  32
41.9  39
62.4  35